Structure and computed XRD peak list of LiZn6Ru (a crystal structure in Alexandria, relaxed with GGA-PBE; copper Kα).

Most intense lines, 10 to 80 degrees two-theta, sorted by position:
(hkl)	d [Å]	Rel. int.
1 1 0	5.224	181
2 2 1	2.199	1000
1 3 1	2.144	95
0 0 2	2.037	391
4 0 0	1.703	108
0 4 2	1.440	116
4 0 2	1.306	163
2 2 3	1.205	241

```
data_LiZn6Ru
_chemical_formula_sum 'Li2 Zn12 Ru2'
_symmetry_space_group_name_H-M 'C m m m'
_symmetry_Int_Tables_number 65
_symmetry_space_group_name_Hall '-C 2 2'
_cell_length_a 6.812
_cell_length_b 8.141
_cell_length_c 4.076
_cell_angle_alpha 90.00
_cell_angle_beta 90.00
_cell_angle_gamma 90.00
loop_
_atom_site_label
_atom_site_type_symbol
_atom_site_fract_x
_atom_site_fract_y
_atom_site_fract_z
_atom_site_occupancy
Li1 Li 0.000 0.000 0.000 1
Zn1 Zn 0.000 0.272 0.500 1
Zn2 Zn 0.234 0.000 0.500 1
Zn3 Zn 0.250 0.250 0.000 1
Ru1 Ru 0.000 0.500 0.000 1
```